Record 1
This entry pairs a crystal structure of ZrCrAgS4 with its computed X-ray diffraction stick pattern. Radiation: Cu Kα (λ = 1.5418 Å). Structure: a structure optimized by DFT (PBE).
No peak broadening, texture or thermal motion is included.

Crystal structure
```
ZrCrAgS4
1.0
6.1502 0.0000 0.0000
0.0141 7.2129 0.0000
1.0155 2.7361 13.4233
Zr Cr Ag S
4 4 4 16
direct
0.0000 0.0000 0.0000 Zr
0.0020 0.4982 0.0014 Zr
0.1422 0.4910 0.5087 Zr
0.6336 0.7999 0.5151 Zr
0.1440 0.0238 0.5131 Cr
0.5114 0.2521 0.0018 Cr
0.5115 0.7577 0.0051 Cr
0.6353 0.2722 0.5119 Cr
0.0040 0.5052 0.7596 Ag
0.3094 0.4206 0.2823 Ag
0.5311 0.8453 0.7562 Ag
0.9989 0.9127 0.2289 Ag
0.0036 0.8213 0.4095 S
0.2068 0.7922 0.8955 S
0.2079 0.2906 0.8938 S
0.2689 0.7415 0.6208 S
0.3042 0.2139 0.6169 S
0.3454 0.4666 0.1017 S
0.3461 0.9683 0.1034 S
0.4758 0.0817 0.4070 S
0.5107 0.5578 0.4072 S
0.6708 0.0433 0.8982 S
0.6736 0.5439 0.8969 S
0.7748 0.4778 0.6152 S
0.8039 0.0076 0.6165 S
0.8112 0.2119 0.1121 S
0.8138 0.7079 0.1129 S
0.9756 0.2872 0.4061 S
```

Largest 10 diffraction maxima, in order of rising 2θ, 15° ≤ 2θ ≤ 90°:
2θ 19.20, intensity 87.5
2θ 20.63, intensity 63.1
2θ 26.56, intensity 69.4
2θ 29.36, intensity 92.9
2θ 30.66, intensity 57.9
2θ 32.98, intensity 58.0
2θ 35.42, intensity 70.1
2θ 36.79, intensity 100.0
2θ 44.15, intensity 55.4
2θ 51.24, intensity 56.5


Record 2
This entry pairs a crystal structure of Tb6Ti3S14 with its computed X-ray diffraction stick pattern. Radiation: Cu Kα (λ = 1.5418 Å). Structure: a structure optimized by DFT (PBE).
No peak broadening, texture or thermal motion is included.

Crystal structure
```
Tb6Ti3S14
1.0
9.6369 0.0000 0.0000
-4.8184 8.3458 0.0000
0.0000 0.0000 6.2092
Tb Ti S
6 3 14
direct
0.0302 0.4891 0.0000 Tb
0.2957 0.1755 0.4832 Tb
0.4589 0.9698 0.0000 Tb
0.5109 0.5411 0.0000 Tb
0.8245 0.1202 0.4832 Tb
0.8798 0.7043 0.4832 Tb
0.0000 0.0000 0.0594 Ti
0.3333 0.6667 0.5750 Ti
0.6667 0.3333 0.6586 Ti
0.0000 0.0000 0.6860 S
0.1024 0.2460 0.2173 S
0.1436 0.8976 0.2173 S
0.1931 0.7698 0.7335 S
0.2302 0.4233 0.7335 S
0.3333 0.6667 0.1996 S
0.4220 0.2250 0.8910 S
0.5273 0.0871 0.4218 S
0.5598 0.4727 0.4218 S
0.5767 0.8069 0.7335 S
0.7540 0.8564 0.2173 S
0.7750 0.1970 0.8910 S
0.8030 0.5780 0.8910 S
0.9129 0.4402 0.4218 S
```

Largest 10 diffraction maxima, in order of rising 2θ, 15° ≤ 2θ ≤ 90°:
2θ 17.80, intensity 31.3
2θ 21.29, intensity 23.7
2θ 25.72, intensity 100.0
2θ 28.76, intensity 16.9
2θ 35.36, intensity 24.1
2θ 36.06, intensity 33.1
2θ 37.32, intensity 40.2
2θ 40.78, intensity 21.2
2θ 47.79, intensity 19.9
2θ 49.13, intensity 29.4


Record 3
This entry pairs a crystal structure of Ce2HoPdS4 with its computed X-ray diffraction stick pattern. Radiation: Cu Kα (λ = 1.5418 Å). Structure: a structure optimized by DFT (PBE).
No peak broadening, texture or thermal motion is included.

Crystal structure
```
Ce2HoPdS4
1.0
-3.4206 3.4206 3.3999
3.4206 -3.4206 3.3999
3.4206 3.4206 -3.3999
Ce Ho Pd S
2 1 1 4
direct
0.0000 0.5000 0.5000 Ce
0.5000 0.0000 0.5000 Ce
0.0000 0.0000 0.0000 Ho
0.5000 0.5000 0.0000 Pd
0.0745 0.0745 0.5887 S
0.4858 0.4858 0.4113 S
0.5142 0.9255 0.0000 S
0.9255 0.5142 0.0000 S
```

Largest 10 diffraction maxima, in order of rising 2θ, 15° ≤ 2θ ≤ 90°:
2θ 26.05, intensity 56.4
2θ 26.21, intensity 26.3
2θ 37.17, intensity 49.1
2θ 37.29, intensity 100.0
2θ 46.05, intensity 28.0
2θ 53.58, intensity 15.0
2θ 60.56, intensity 28.7
2θ 60.85, intensity 12.6
2θ 67.09, intensity 29.2
2θ 67.32, intensity 15.5


Record 4
This entry pairs a crystal structure of Pm2SmSe3 with its computed X-ray diffraction stick pattern. Radiation: Cu Kα (λ = 1.5418 Å). Structure: a structure optimized by DFT (PBE).
No peak broadening, texture or thermal motion is included.

Crystal structure
```
Pm2SmSe3
1.0
-2.1016 2.9561 6.2730
2.1016 -2.9561 6.2730
2.1016 2.9561 -6.2730
Pm Sm Se
2 1 3
direct
0.1676 0.1676 0.0000 Pm
0.8324 0.8324 0.0000 Pm
0.5000 0.5000 0.0000 Sm
0.0000 0.5000 0.5000 Se
0.3347 0.8347 0.5000 Se
0.6653 0.1653 0.5000 Se
```

Largest 10 diffraction maxima, in order of rising 2θ, 15° ≤ 2θ ≤ 90°:
2θ 26.06, intensity 17.0
2θ 30.17, intensity 100.0
2θ 43.04, intensity 12.6
2θ 43.23, intensity 62.0
2θ 53.50, intensity 13.2
2θ 53.69, intensity 13.1
2θ 71.16, intensity 11.2
2θ 71.29, intensity 16.7
2θ 79.02, intensity 8.4
2θ 79.36, intensity 12.5


Record 5
This entry pairs a crystal structure of RbHg8Au2 with its computed X-ray diffraction stick pattern. Radiation: Cu Kα (λ = 1.5418 Å). Structure: a structure optimized by DFT (PBE).
No peak broadening, texture or thermal motion is included.

Crystal structure
```
RbHg8Au2
1.0
-3.2168 3.2168 9.8048
3.2168 -3.2168 9.8048
3.2168 3.2168 -9.8048
Rb Hg Au
1 8 2
direct
0.0000 0.0000 0.0000 Rb
0.1000 0.1000 0.5042 Hg
0.1000 0.5958 0.0000 Hg
0.4042 0.4042 0.5042 Hg
0.4042 0.9000 0.0000 Hg
0.5958 0.1000 0.0000 Hg
0.5958 0.5958 0.4958 Hg
0.9000 0.4042 0.0000 Hg
0.9000 0.9000 0.4958 Hg
0.2500 0.7500 0.5000 Au
0.7500 0.2500 0.5000 Au
```

Largest 10 diffraction maxima, in order of rising 2θ, 15° ≤ 2θ ≤ 90°:
2θ 18.10, intensity 21.0
2θ 21.53, intensity 22.9
2θ 27.73, intensity 33.3
2θ 33.31, intensity 100.0
2θ 39.30, intensity 60.6
2θ 39.62, intensity 45.8
2θ 57.28, intensity 15.8
2θ 62.54, intensity 20.3
2θ 67.90, intensity 26.4
2θ 71.68, intensity 21.4


Record 6
This entry pairs a crystal structure of NdPuNp2S4 with its computed X-ray diffraction stick pattern. Radiation: Cu Kα (λ = 1.5418 Å). Structure: a structure optimized by DFT (PBE).
No peak broadening, texture or thermal motion is included.

Crystal structure
```
NdPuNp2S4
1.0
6.8503 0.0000 0.0000
0.0000 3.9573 0.0000
-2.2783 0.0000 6.4836
Nd Pu Np S
1 1 2 4
direct
0.0000 0.0000 0.0000 Nd
0.0000 0.5000 0.5000 Pu
0.5000 0.0000 0.5000 Np
0.5000 0.5000 0.0000 Np
0.2579 0.0000 0.7463 S
0.2611 0.5000 0.2596 S
0.7389 0.5000 0.7404 S
0.7421 0.0000 0.2537 S
```

Largest 10 diffraction maxima, in order of rising 2θ, 15° ≤ 2θ ≤ 90°:
2θ 27.58, intensity 100.0
2θ 31.95, intensity 99.5
2θ 45.76, intensity 36.8
2θ 45.88, intensity 36.6
2θ 54.23, intensity 12.6
2θ 54.35, intensity 37.7
2θ 57.00, intensity 19.3
2θ 75.89, intensity 16.8
2θ 76.06, intensity 16.7
2θ 84.85, intensity 17.2


Record 7
This entry pairs a crystal structure of Sr2Tl7 with its computed X-ray diffraction stick pattern. Radiation: Cu Kα (λ = 1.5418 Å). Structure: a structure optimized by DFT (PBE).
No peak broadening, texture or thermal motion is included.

Crystal structure
```
Sr2Tl7
1.0
3.2137 1.8554 16.8809
-3.2137 1.8554 16.8809
0.0000 -3.7108 16.8809
Sr Tl
4 14
direct
0.0499 0.0499 0.0499 Sr
0.1475 0.1475 0.1475 Sr
0.8525 0.8525 0.8525 Sr
0.9501 0.9501 0.9501 Sr
0.0000 0.5000 0.5000 Tl
0.1091 0.6146 0.6146 Tl
0.2765 0.2765 0.2765 Tl
0.3854 0.3854 0.8909 Tl
0.3854 0.8909 0.3854 Tl
0.3911 0.3911 0.3911 Tl
0.5000 0.0000 0.5000 Tl
0.5000 0.5000 0.0000 Tl
0.5000 0.5000 0.5000 Tl
0.6089 0.6089 0.6089 Tl
0.6146 0.1091 0.6146 Tl
0.6146 0.6146 0.1091 Tl
0.7235 0.7235 0.7235 Tl
0.8909 0.3854 0.3854 Tl
```

Largest 10 diffraction maxima, in order of rising 2θ, 15° ≤ 2θ ≤ 90°:
2θ 16.02, intensity 47.9
2θ 31.81, intensity 39.3
2θ 32.07, intensity 100.0
2θ 32.21, intensity 21.3
2θ 34.14, intensity 17.2
2θ 35.23, intensity 49.7
2θ 36.85, intensity 28.0
2θ 51.88, intensity 28.8
2θ 57.34, intensity 28.6
2θ 67.08, intensity 28.5


Record 8
This entry pairs a crystal structure of GeSbPt3 with its computed X-ray diffraction stick pattern. Radiation: Cu Kα (λ = 1.5418 Å). Structure: a structure optimized by DFT (PBE).
No peak broadening, texture or thermal motion is included.

Crystal structure
```
GeSbPt3
1.0
4.7002 0.0000 0.0000
0.0000 4.7002 0.0000
0.0000 0.0000 4.7002
Ge Sb Pt
1 1 3
direct
0.0000 0.0000 0.0000 Ge
0.5000 0.5000 0.5000 Sb
0.0000 0.0000 0.5000 Pt
0.0000 0.5000 0.0000 Pt
0.5000 0.0000 0.0000 Pt
```

Largest 10 diffraction maxima, in order of rising 2θ, 15° ≤ 2θ ≤ 90°:
2θ 18.88, intensity 16.2
2θ 33.01, intensity 100.0
2θ 38.30, intensity 77.8
2θ 43.03, intensity 8.1
2θ 55.28, intensity 54.1
2θ 58.95, intensity 4.1
2θ 65.91, intensity 41.8
2θ 69.25, intensity 18.4
2θ 82.00, intensity 8.8
2θ 85.10, intensity 2.4


Record 9
This entry pairs a crystal structure of LaSm4Ho2Th with its computed X-ray diffraction stick pattern. Radiation: Cu Kα (λ = 1.5418 Å). Structure: a structure optimized by DFT (PBE).
No peak broadening, texture or thermal motion is included.

Crystal structure
```
LaSm4Ho2Th
1.0
5.0947 0.0000 0.0000
0.0000 5.1035 0.0000
0.0000 0.0000 10.2756
La Sm Ho Th
1 4 2 1
direct
0.0000 0.0000 0.0000 La
0.0000 0.5000 0.2557 Sm
0.0000 0.5000 0.7443 Sm
0.5000 0.0000 0.2568 Sm
0.5000 0.0000 0.7432 Sm
0.0000 0.0000 0.5000 Ho
0.5000 0.5000 0.0000 Ho
0.5000 0.5000 0.5000 Th
```

Largest 10 diffraction maxima, in order of rising 2θ, 15° ≤ 2θ ≤ 90°:
2θ 30.28, intensity 100.0
2θ 34.93, intensity 17.0
2θ 35.20, intensity 33.7
2θ 50.43, intensity 24.2
2θ 50.63, intensity 12.1
2θ 59.78, intensity 14.3
2θ 60.14, intensity 28.8
2θ 62.99, intensity 12.4
2θ 82.09, intensity 11.7
2θ 82.41, intensity 5.9


Record 10
This entry pairs a crystal structure of BaSrNi2Cl8 with its computed X-ray diffraction stick pattern. Radiation: Cu Kα (λ = 1.5418 Å). Structure: a structure optimized by DFT (PBE).
No peak broadening, texture or thermal motion is included.

Crystal structure
```
BaSrNi2Cl8
1.0
6.4970 0.0000 0.0000
-3.2485 5.6266 0.0000
0.0000 0.0000 9.5435
Ba Sr Ni Cl
1 1 2 8
direct
0.0000 0.0000 0.0000 Ba
0.0000 0.0000 0.5000 Sr
0.3333 0.6667 0.7627 Ni
0.6667 0.3333 0.2373 Ni
0.0044 0.3201 0.7125 Cl
0.3157 0.9956 0.7125 Cl
0.3201 0.3157 0.2875 Cl
0.3333 0.6667 0.9943 Cl
0.6667 0.3333 0.0057 Cl
0.6799 0.6843 0.7125 Cl
0.6843 0.0044 0.2875 Cl
0.9956 0.6799 0.2875 Cl
```

Largest 10 diffraction maxima, in order of rising 2θ, 15° ≤ 2θ ≤ 90°:
2θ 15.75, intensity 41.1
2θ 18.30, intensity 51.3
2θ 24.46, intensity 100.0
2θ 27.46, intensity 66.5
2θ 29.04, intensity 66.3
2θ 33.37, intensity 58.6
2θ 37.10, intensity 43.7
2θ 46.77, intensity 40.9
2θ 47.27, intensity 42.2
2θ 48.54, intensity 51.0


Record 11
This entry pairs a crystal structure of Y4ThSc2 with its computed X-ray diffraction stick pattern. Radiation: Cu Kα (λ = 1.5418 Å). Structure: a structure optimized by DFT (PBE).
No peak broadening, texture or thermal motion is included.

Crystal structure
```
Y4ThSc2
1.0
7.8450 -7.9012 0.0000
7.8450 7.9012 0.0000
0.0000 0.0000 3.5052
Y Th Sc
8 2 4
direct
0.0301 0.2497 0.0006 Y
0.2497 0.0301 0.9994 Y
0.2503 0.4699 0.9994 Y
0.4699 0.2503 0.0006 Y
0.5301 0.7497 0.9994 Y
0.7497 0.5301 0.0006 Y
0.7503 0.9699 0.0006 Y
0.9699 0.7503 0.9994 Y
0.2500 0.7500 0.4984 Th
0.7500 0.2500 0.5016 Th
0.0000 0.0000 0.5000 Sc
0.0000 0.5000 0.5000 Sc
0.5000 0.0000 0.5000 Sc
0.5000 0.5000 0.5000 Sc
```

Largest 10 diffraction maxima, in order of rising 2θ, 15° ≤ 2θ ≤ 90°:
2θ 25.24, intensity 34.9
2θ 25.35, intensity 35.5
2θ 27.86, intensity 56.7
2θ 32.16, intensity 91.3
2θ 34.21, intensity 100.0
2θ 34.31, intensity 82.6
2θ 49.11, intensity 27.6
2θ 58.57, intensity 30.8
2θ 58.82, intensity 39.1
2θ 62.64, intensity 25.9


Record 12
This entry pairs a crystal structure of CsPb4Br8 with its computed X-ray diffraction stick pattern. Radiation: Cu Kα (λ = 1.5418 Å). Structure: a structure optimized by DFT (PBE).
No peak broadening, texture or thermal motion is included.

Crystal structure
```
CsPb4Br8
1.0
8.4539 0.0000 0.0000
-4.2270 7.3213 0.0000
0.0000 0.0000 18.7511
Cs Pb Br
2 8 16
direct
0.0000 0.0000 0.0000 Cs
0.0000 0.0000 0.5000 Cs
0.0000 0.0000 0.2500 Pb
0.0000 0.0000 0.7500 Pb
0.0173 0.5087 0.2500 Pb
0.4913 0.5087 0.2500 Pb
0.4913 0.9827 0.2500 Pb
0.5087 0.0173 0.7500 Pb
0.5087 0.4913 0.7500 Pb
0.9827 0.4913 0.7500 Pb
0.1692 0.3385 0.6461 Br
0.1692 0.3385 0.8539 Br
0.1692 0.8308 0.6461 Br
0.1692 0.8308 0.8539 Br
0.3333 0.6667 0.1433 Br
0.3333 0.6667 0.3567 Br
0.3385 0.1692 0.1461 Br
0.3385 0.1692 0.3539 Br
0.6615 0.8308 0.6461 Br
0.6615 0.8308 0.8539 Br
0.6667 0.3333 0.6433 Br
0.6667 0.3333 0.8567 Br
0.8308 0.1692 0.1461 Br
0.8308 0.1692 0.3539 Br
0.8308 0.6615 0.1461 Br
0.8308 0.6615 0.3539 Br
```

Largest 10 diffraction maxima, in order of rising 2θ, 15° ≤ 2θ ≤ 90°:
2θ 24.31, intensity 22.2
2θ 24.78, intensity 24.4
2θ 26.13, intensity 35.7
2θ 31.00, intensity 100.0
2θ 37.85, intensity 32.5
2θ 42.79, intensity 34.5
2θ 43.91, intensity 18.1
2θ 53.77, intensity 21.0
2θ 58.83, intensity 17.4
2θ 71.04, intensity 17.8


What did the eleventh record say?
This entry pairs a crystal structure of Y4ThSc2 with its computed X-ray diffraction stick pattern. Radiation: Cu Kα (λ = 1.5418 Å). Structure: a structure optimized by DFT (PBE).
No peak broadening, texture or thermal motion is included.

Crystal structure
```
Y4ThSc2
1.0
7.8450 -7.9012 0.0000
7.8450 7.9012 0.0000
0.0000 0.0000 3.5052
Y Th Sc
8 2 4
direct
0.0301 0.2497 0.0006 Y
0.2497 0.0301 0.9994 Y
0.2503 0.4699 0.9994 Y
0.4699 0.2503 0.0006 Y
0.5301 0.7497 0.9994 Y
0.7497 0.5301 0.0006 Y
0.7503 0.9699 0.0006 Y
0.9699 0.7503 0.9994 Y
0.2500 0.7500 0.4984 Th
0.7500 0.2500 0.5016 Th
0.0000 0.0000 0.5000 Sc
0.0000 0.5000 0.5000 Sc
0.5000 0.0000 0.5000 Sc
0.5000 0.5000 0.5000 Sc
```

Largest 10 diffraction maxima, in order of rising 2θ, 15° ≤ 2θ ≤ 90°:
2θ 25.24, intensity 34.9
2θ 25.35, intensity 35.5
2θ 27.86, intensity 56.7
2θ 32.16, intensity 91.3
2θ 34.21, intensity 100.0
2θ 34.31, intensity 82.6
2θ 49.11, intensity 27.6
2θ 58.57, intensity 30.8
2θ 58.82, intensity 39.1
2θ 62.64, intensity 25.9